Entry 1:
Starting from the PBE geometry in Alexandria, the XRD peak list of Tm3CoSi6Ni2 was simulated for λ = 1.5418 Å (Cu Kα).

Largest 10 diffraction maxima, low angle first, 2θ = 10–90°:
h k l	2θ/deg	Rel. int.
0 0 2	20.15	313
1 0 1	22.16	542
0 1 2	28.33	878
1 1 0	34.49	1000
1 0 3	36.51	284
1 1 2	40.27	909
0 2 1	41.38	284
2 0 2	45.22	439
0 1 4	45.84	616
1 2 4	69.82	343

Structure:
a b c (Å): 5.2007 5.2007 8.8142
angles (deg): 90.00 90.00 120.00
Space group P-3m1 (No. 164)
Symmetry-distinct sites (fractional):
Tm: 0.0000 0.0000 0.0000 [1 per cell]
Tm: 0.3333 0.6667 0.5768 [2 per cell]
Co: 0.0000 0.0000 0.5000 [1 per cell]
Si: 0.1648 0.3295 0.2844 [6 per cell]
Ni: 0.3333 0.6667 0.0861 [2 per cell]

Entry 2:
Starting from the PBE geometry in Alexandria, the XRD peak list of Sm4Co2Ni was simulated for λ = 1.5418 Å (Cu Kα).

Largest 10 diffraction maxima, low angle first, 2θ = 10–90°:
h k l	2θ/deg	Rel. int.
1 1 1	29.06	916
3 1 -1	29.33	1000
0 0 2	29.56	484
4 0 -2	30.09	267
4 0 0	31.92	270
3 1 -2	33.98	309
2 0 2	40.66	234
5 1 -1	40.78	289
0 2 0	42.46	448
3 1 -3	43.82	604

Structure:
a b c (Å): 13.1515 4.2587 7.0895
angles (deg): 90.00 121.53 90.00
Space group C2/m (No. 12)
Symmetry-distinct sites (fractional):
Sm: 0.1145 0.0000 0.3148 [4 per cell]
Sm: 0.1459 0.5000 0.7906 [4 per cell]
Co: 0.2177 0.5000 0.2235 [4 per cell]
Ni: 0.0000 0.5000 0.0000 [2 per cell]

Entry 3:
Starting from the PBE geometry in Alexandria, the XRD peak list of SmCo3Ni2 was simulated for λ = 1.5418 Å (Cu Kα).

Largest 10 diffraction maxima, low angle first, 2θ = 10–90°:
h k l	2θ/deg	Rel. int.
1 0 1	30.59	475
1 1 0	36.57	326
2 0 0	42.48	327
1 1 1	43.15	1000
0 0 2	45.09	270
1 1 2	59.40	156
2 0 2	63.68	188
3 0 1	70.38	219
2 2 0	77.74	149
1 1 3	81.86	143

Structure:
a b c (Å): 4.9140 4.9140 4.0213
angles (deg): 90.00 90.00 120.00
Space group P6/mmm (No. 191)
Symmetry-distinct sites (fractional):
Sm: 0.0000 0.0000 0.0000 [1 per cell]
Co: 0.0000 0.5000 0.5000 [3 per cell]
Ni: 0.3333 0.6667 0.0000 [2 per cell]

Entry 4:
Starting from the PBE geometry in Alexandria, the XRD peak list of Sm3Co2Ni4 was simulated for λ = 1.5418 Å (Cu Kα).

Largest 9 diffraction maxima, low angle first, 2θ = 10–90°:
h k l	2θ/deg	Rel. int.
1 0 0	25.95	164
1 0 6	34.55	1000
1 1 0	45.76	506
2 0 0	53.36	72
2 0 6	58.59	213
1 1 12	66.72	234
2 1 0	72.88	40
2 1 6	77.36	275
3 0 0	84.67	60

Structure:
a b c (Å): 3.9654 3.9654 23.7895
angles (deg): 90.00 90.00 120.00
Space group P-6m2 (No. 187)
Symmetry-distinct sites (fractional):
Sm: 0.0000 0.0000 0.0841 [2 per cell]
Sm: 0.0000 0.0000 0.2480 [2 per cell]
Sm: 0.0000 0.0000 0.4160 [2 per cell]
Co: 0.3333 0.6667 0.5000 [1 per cell]
Co: 0.6667 0.3333 0.1662 [2 per cell]
Co: 0.6667 0.3333 0.5000 [1 per cell]
Ni: 0.3333 0.6667 0.0000 [1 per cell]
Ni: 0.3333 0.6667 0.1661 [2 per cell]
Ni: 0.3333 0.6667 0.3324 [2 per cell]
Ni: 0.6667 0.3333 0.0000 [1 per cell]
Ni: 0.6667 0.3333 0.3320 [2 per cell]

Entry 5:
Starting from the PBE geometry in Alexandria, the XRD peak list of SmYCo2Ni2 was simulated for λ = 1.5418 Å (Cu Kα).

Largest 10 diffraction maxima, low angle first, 2θ = 10–90°:
h k l	2θ/deg	Rel. int.
1 1 2	34.98	1000
2 0 0	36.11	195
0 1 3	40.72	425
1 0 3	40.98	391
1 2 1	41.43	815
2 1 1	42.19	714
0 2 2	42.93	251
2 0 2	43.92	264
1 3 2	62.72	214
0 4 0	73.88	444

Structure:
a b c (Å): 4.9749 5.1353 7.3681
angles (deg): 90.00 90.00 90.00
Space group Imm2 (No. 44)
Symmetry-distinct sites (fractional):
Sm: 0.0000 0.0000 0.0000 [2 per cell]
Y: 0.0000 0.5000 0.2447 [2 per cell]
Co: 0.2499 0.0000 0.3726 [4 per cell]
Ni: 0.0000 0.2492 0.6221 [4 per cell]

Entry 6:
Starting from the PBE geometry in Alexandria, the XRD peak list of CoNi2Sn was simulated for λ = 1.5418 Å (Cu Kα).

Largest 10 diffraction maxima, low angle first, 2θ = 10–90°:
h k l	2θ/deg	Rel. int.
0 0 1	23.48	31
1 0 0	24.03	73
1 0 1	33.85	64
1 1 1	41.94	1000
0 0 2	48.03	167
2 0 0	49.21	310
2 0 2	71.22	198
2 2 0	72.15	95
1 1 3	85.34	123
3 1 1	87.11	235

Structure:
a b c (Å): 3.7031 3.7031 3.7883
angles (deg): 90.00 90.00 90.00
Space group P4/mmm (No. 123)
Symmetry-distinct sites (fractional):
Co: 0.0000 0.0000 0.0000 [1 per cell]
Ni: 0.0000 0.5000 0.5000 [2 per cell]
Sn: 0.5000 0.5000 0.0000 [1 per cell]

Entry 7:
Starting from the PBE geometry in Alexandria, the XRD peak list of Ta2CoNi7Sn2 was simulated for λ = 1.5418 Å (Cu Kα).

Largest 10 diffraction maxima, low angle first, 2θ = 10–90°:
h k l	2θ/deg	Rel. int.
1 0 5	30.36	1000
1 1 0	37.72	668
1 0 9	37.84	869
1 1 2	38.21	451
1 1 6	41.93	447
1 0 11	42.48	952
1 1 8	44.97	667
1 1 10	48.67	434
2 0 0	54.41	796
2 1 11	71.36	557

Structure:
a b c (Å): 3.3724 3.3724 30.1752
angles (deg): 90.00 90.00 90.00
Space group I4/mmm (No. 139)
Symmetry-distinct sites (fractional):
Ta: 0.0000 0.0000 0.1245 [4 per cell]
Co: 0.0000 0.0000 0.5000 [2 per cell]
Ni: 0.0000 0.0000 0.0000 [2 per cell]
Ni: 0.0000 0.0000 0.2260 [4 per cell]
Ni: 0.0000 0.5000 0.0619 [8 per cell]
Sn: 0.0000 0.0000 0.3125 [4 per cell]

Entry 8:
Starting from the PBE geometry in Alexandria, the XRD peak list of Ta6Co5Ni was simulated for λ = 1.5418 Å (Cu Kα).

Largest 10 diffraction maxima, low angle first, 2θ = 10–90°:
h k l	2θ/deg	Rel. int.
1 0 1	24.96	403
1 0 -2	31.54	226
0 2 -1	31.71	223
0 0 3	40.64	1000
1 2 0	40.78	991
1 2 -3	45.33	731
2 0 2	51.22	254
0 2 2	52.44	232
1 2 3	70.76	285
-1 2 4	80.37	134

Structure:
a b c (Å): 4.5560 5.6431 7.2695
angles (deg): 112.77 95.81 90.06
Space group P-1 (No. 2)
Symmetry-distinct sites (fractional):
Ta: 0.9997 0.2487 0.0001 [2 per cell]
Ta: 0.3301 0.0816 0.6644 [2 per cell]
Ta: 0.3299 0.5828 0.6641 [2 per cell]
Co: 0.1665 0.6650 0.3299 [2 per cell]
Co: 0.1695 0.1657 0.3316 [2 per cell]
Co: 0.5000 0.0000 0.0000 [1 per cell]
Ni: 0.5000 0.5000 0.0000 [1 per cell]

Entry 9:
Starting from the PBE geometry in Alexandria, the XRD peak list of TaCoNi6 was simulated for λ = 1.5418 Å (Cu Kα).

Largest 10 diffraction maxima, low angle first, 2θ = 10–90°:
h k l	2θ/deg	Rel. int.
1 1 0	15.08	53
1 1 2	23.09	37
0 2 2	24.67	67
2 0 0	24.79	34
2 2 2	35.25	55
2 4 0	43.50	1000
0 4 4	50.58	315
4 0 0	50.85	155
0 8 0	74.33	93
4 4 4	74.55	184

Structure:
a b c (Å): 7.1824 10.2145 10.2031
angles (deg): 90.00 90.00 90.00
Space group Cmmm (No. 65)
Symmetry-distinct sites (fractional):
Ta: 0.0000 0.0000 0.2452 [4 per cell]
Ta: 0.0000 0.2454 0.5000 [4 per cell]
Co: 0.0000 0.2428 0.0000 [4 per cell]
Co: 0.0000 0.5000 0.2426 [4 per cell]
Ni: 0.0000 0.0000 0.0000 [2 per cell]
Ni: 0.0000 0.0000 0.5000 [2 per cell]
Ni: 0.0000 0.2517 0.2461 [8 per cell]
Ni: 0.0000 0.5000 0.0000 [2 per cell]
Ni: 0.0000 0.5000 0.5000 [2 per cell]
Ni: 0.2450 0.3737 0.1226 [16 per cell]
Ni: 0.2451 0.3763 0.3725 [16 per cell]

Entry 10:
Starting from the PBE geometry in Alexandria, the XRD peak list of TaCoNi2 was simulated for λ = 1.5418 Å (Cu Kα).

Largest 10 diffraction maxima, low angle first, 2θ = 10–90°:
h k l	2θ/deg	Rel. int.
0 0 2	23.49	104
1 0 1	27.40	318
1 1 2	42.76	1000
1 0 3	43.77	95
0 0 4	48.04	177
2 0 0	50.64	301
2 0 4	72.38	199
2 2 0	74.44	92
1 1 6	85.90	126
3 1 2	89.86	230

Structure:
a b c (Å): 3.6050 3.6050 7.5755
angles (deg): 90.00 90.00 90.00
Space group I4/mmm (No. 139)
Symmetry-distinct sites (fractional):
Ta: 0.0000 0.0000 0.0000 [2 per cell]
Co: 0.0000 0.0000 0.5000 [2 per cell]
Ni: 0.0000 0.5000 0.2500 [4 per cell]

Entry 11:
Starting from the PBE geometry in Alexandria, the XRD peak list of Ta2CoNi was simulated for λ = 1.5418 Å (Cu Kα).

Largest 10 diffraction maxima, low angle first, 2θ = 10–90°:
h k l	2θ/deg	Rel. int.
0 1 1	27.83	452
0 0 2	38.19	263
1 1 0	38.56	169
1 0 1	39.80	178
0 2 0	41.33	1000
0 1 2	43.63	254
1 1 1	45.08	290
0 2 2	57.50	159
1 2 1	58.70	130
1 3 -1	75.35	140

Structure:
a b c (Å): 2.7823 4.3722 4.7493
angles (deg): 90.00 97.02 90.00
Space group Pm (No. 6)
Symmetry-distinct sites (fractional):
Ta: 0.0000 0.0000 0.0000 [1 per cell]
Ta: 0.1841 0.5000 0.5980 [1 per cell]
Co: 0.5737 0.5000 0.1183 [1 per cell]
Ni: 0.6131 0.0000 0.4701 [1 per cell]

Entry 12:
Starting from the PBE geometry in Alexandria, the XRD peak list of Tb2Co5Ni5 was simulated for λ = 1.5418 Å (Cu Kα).

Largest 10 diffraction maxima, low angle first, 2θ = 10–90°:
h k l	2θ/deg	Rel. int.
1 0 2	30.59	236
1 1 1	30.86	507
0 1 3	36.61	327
0 0 4	42.25	176
0 2 2	43.06	315
1 1 3	43.24	1000
1 2 0	43.83	471
2 0 0	45.33	396
2 2 2	64.30	183
1 3 3	71.35	212

Structure:
a b c (Å): 4.0010 4.8234 8.5553
angles (deg): 90.00 90.00 90.00
Space group Pmmm (No. 47)
Symmetry-distinct sites (fractional):
Tb: 0.0000 0.0000 0.0000 [1 per cell]
Tb: 0.0000 0.5000 0.5000 [1 per cell]
Co: 0.5000 0.0000 0.5000 [1 per cell]
Co: 0.5000 0.2518 0.2537 [4 per cell]
Ni: 0.0000 0.0000 0.3309 [2 per cell]
Ni: 0.0000 0.5000 0.1680 [2 per cell]
Ni: 0.5000 0.5000 0.0000 [1 per cell]